This entry pairs a crystal structure of SrMg5 with its simulated PXRD pattern. Radiation: copper Kα. Structure: the GGA-PBE geometry in the Materials Project.

Main lines, sorted by position (2θ = 15–90°):
2θ = 29.3°, rel. 33, (1 0 0); 2θ = 29.9°, rel. 17, (1 0 1); 2θ = 31.6°, rel. 22, (1 0 2); 2θ = 34.2°, rel. 100, (1 0 3); 2θ = 35.0°, rel. 16, (0 0 6); 2θ = 46.3°, rel. 17, (1 0 6); 2θ = 51.9°, rel. 20, (1 1 0); 2θ = 64.2°, rel. 16, (1 1 6)

Structure:
abc: 3.5220 3.5220 15.3772
angles: 90.00 90.00 120.00
Space group P-6m2 (No. 187)
Inequivalent atoms, fractional coordinates:
Sr: 0.0000 0.0000 0.0000 x1
Mg: 0.0000 0.0000 0.3459 x2
Mg: 0.3333 0.6667 0.1928 x2
Mg: 0.3333 0.6667 0.5000 x1

=====

This entry pairs a crystal structure of SrMg2 with its simulated PXRD pattern. Radiation: copper Kα. Structure: the GGA-PBE geometry in the Materials Project.

Main lines, sorted by position (2θ = 15–90°):
2θ = 21.1°, rel. 37, (2 0 1); 2θ = 21.3°, rel. 40, (2 0 -2); 2θ = 27.1°, rel. 66, (1 1 -1); 2θ = 28.4°, rel. 37, (4 0 -1); 2θ = 29.9°, rel. 61, (2 0 2); 2θ = 30.1°, rel. 38, (2 0 -3); 2θ = 32.0°, rel. 97, (1 1 -2); 2θ = 33.8°, rel. 100, (3 1 0)

Structure:
abc: 12.5851 3.5774 8.9926
angles: 90.00 110.03 90.00
Space group C2/m (No. 12)
Inequivalent atoms, fractional coordinates:
Sr: 0.1551 0.0000 0.1253 x4
Mg: 0.0418 0.5000 0.7325 x4
Mg: 0.1450 0.0000 0.5221 x4

=====

This entry pairs a crystal structure of SrMg with its simulated PXRD pattern. Radiation: copper Kα. Structure: the GGA-PBE geometry in the Materials Project.

Main lines, sorted by position (2θ = 15–90°):
2θ = 21.2°, rel. 35, (1 0 0); 2θ = 30.1°, rel. 100, (1 1 0); 2θ = 43.1°, rel. 18, (2 0 0); 2θ = 48.5°, rel. 16, (2 1 0); 2θ = 53.5°, rel. 39, (2 1 1); 2θ = 62.6°, rel. 12, (2 2 0); 2θ = 71.0°, rel. 16, (3 1 0); 2θ = 86.9°, rel. 19, (3 2 1)

Structure:
abc: 4.1958 4.1958 4.1958
angles: 90.00 90.00 90.00
Space group Pm-3m (No. 221)
Inequivalent atoms, fractional coordinates:
Sr: 0.0000 0.0000 0.0000 x1
Mg: 0.5000 0.5000 0.5000 x1

=====

This entry pairs a crystal structure of SrMg2 with its simulated PXRD pattern. Radiation: copper Kα. Structure: the GGA-PBE geometry in the Materials Project.

Main lines, sorted by position (2θ = 15–90°):
2θ = 18.4°, rel. 100, (1 1 0); 2θ = 19.0°, rel. 55, (1 0 1); 2θ = 27.7°, rel. 32, (0 0 2); 2θ = 32.5°, rel. 84, (2 1 1); 2θ = 33.5°, rel. 45, (1 1 2); 2θ = 42.2°, rel. 40, (3 0 1); 2θ = 52.1°, rel. 22, (2 1 3); 2θ = 57.6°, rel. 22, (4 1 1)

Structure:
abc: 6.8131 6.8131 6.4381
angles: 90.00 90.00 90.00
Space group P4_2/mnm (No. 136)
Inequivalent atoms, fractional coordinates:
Sr: 0.0000 0.0000 0.0000 x2
Mg: 0.1523 0.1523 0.5000 x4

=====

This entry pairs a crystal structure of SrMg2 with its simulated PXRD pattern. Radiation: copper Kα. Structure: the GGA-PBE geometry in the Materials Project.

Main lines, sorted by position (2θ = 15–90°):
2θ = 17.3°, rel. 35, (2 0 -1); 2θ = 23.1°, rel. 31, (1 1 0); 2θ = 26.0°, rel. 100, (1 1 1); 2θ = 27.2°, rel. 40, (2 0 2); 2θ = 27.6°, rel. 33, (4 0 0); 2θ = 30.4°, rel. 87, (3 1 0); 2θ = 32.4°, rel. 81, (1 1 -2); 2θ = 32.9°, rel. 31, (3 1 1)

Structure:
abc: 12.9531 4.0280 7.8408
angles: 90.00 92.84 90.00
Space group Cm (No. 8)
Inequivalent atoms, fractional coordinates:
Sr: 0.0000 0.0000 0.0000 x2
Sr: 0.2404 0.5000 0.3264 x2
Mg: 0.0312 0.0000 0.4929 x2
Mg: 0.1680 0.5000 0.7384 x2
Mg: 0.2767 0.0000 0.9777 x2
Mg: 0.3814 0.0000 0.6464 x2

=====

This entry pairs a crystal structure of SrMg with its simulated PXRD pattern. Radiation: copper Kα. Structure: the GGA-PBE geometry in the Materials Project.

Main lines, sorted by position (2θ = 15–90°):
2θ = 19.6°, rel. 100, (1 1 1); 2θ = 22.7°, rel. 24, (2 0 0); 2θ = 32.3°, rel. 66, (2 2 0); 2θ = 38.0°, rel. 55, (3 1 1); 2θ = 50.7°, rel. 23, (3 3 1); 2θ = 57.5°, rel. 25, (4 2 2); 2θ = 61.4°, rel. 18, (5 1 1); 2θ = 71.1°, rel. 17, (5 3 1)

Structure:
abc: 7.8482 7.8482 7.8482
angles: 90.00 90.00 90.00
Space group F-43m (No. 216)
Inequivalent atoms, fractional coordinates:
Sr: 0.0000 0.0000 0.0000 x4
Mg: 0.2500 0.2500 0.7500 x4

=====

This entry pairs a crystal structure of SrMg2 with its simulated PXRD pattern. Radiation: copper Kα. Structure: the GGA-PBE geometry in the Materials Project.

Main lines, sorted by position (2θ = 15–90°):
2θ = 16.2°, rel. 32, (1 0 0); 2θ = 24.7°, rel. 24, (1 0 4); 2θ = 27.1°, rel. 36, (0 1 3); 2θ = 31.7°, rel. 100, (1 1 3); 2θ = 32.5°, rel. 37, (1 0 6); 2θ = 32.7°, rel. 30, (2 0 0); 2θ = 42.9°, rel. 20, (2 1 3); 2θ = 58.6°, rel. 24, (2 2 0)

Structure:
abc: 5.4849 3.8410 19.1068
angles: 90.00 90.00 90.00
Space group Amm2 (No. 38)
Inequivalent atoms, fractional coordinates:
Sr: 0.0000 0.0000 0.0000 x2
Sr: 0.0000 0.0000 0.3083 x2
Mg: 0.0000 0.0000 0.6566 x2
Mg: 0.5000 0.0000 0.1202 x2
Mg: 0.5000 0.0000 0.4322 x2
Mg: 0.5000 0.0000 0.7516 x2

=====

This entry pairs a crystal structure of SrMg2 with its simulated PXRD pattern. Radiation: copper Kα. Structure: the GGA-PBE geometry in the Materials Project.

Main lines, sorted by position (2θ = 15–90°):
2θ = 27.5°, rel. 75, (1 1 0); 2θ = 30.4°, rel. 97, (1 0 3); 2θ = 32.6°, rel. 100, (1 1 2); 2θ = 33.1°, rel. 46, (2 0 1); 2θ = 50.5°, rel. 46, (2 1 3); 2θ = 52.0°, rel. 26, (3 0 2); 2θ = 55.1°, rel. 30, (2 0 5); 2θ = 56.9°, rel. 24, (2 2 0)

Structure:
abc: 6.4764 6.4764 10.3648
angles: 90.00 90.00 120.00
Space group P6_3/mmc (No. 194)
Inequivalent atoms, fractional coordinates:
Sr: 0.3333 0.6667 0.0605 x4
Mg: 0.0000 0.0000 0.0000 x2
Mg: 0.1659 0.3318 0.7500 x6

=====

This entry pairs a crystal structure of SrMg2 with its simulated PXRD pattern. Radiation: copper Kα. Structure: the GGA-PBE geometry in the Materials Project.

Main lines, sorted by position (2θ = 15–90°):
2θ = 23.6°, rel. 21, (0 0 4); 2θ = 25.7°, rel. 41, (1 0 0); 2θ = 26.4°, rel. 28, (1 0 1); 2θ = 28.3°, rel. 68, (1 0 2); 2θ = 31.3°, rel. 100, (0 1 3); 2θ = 45.3°, rel. 35, (1 1 0); 2θ = 49.8°, rel. 20, (0 1 7); 2θ = 56.1°, rel. 18, (2 0 3)

Structure:
abc: 4.0016 4.0016 15.0950
angles: 90.00 90.00 120.00
Space group P-3m1 (No. 164)
Inequivalent atoms, fractional coordinates:
Sr: 0.3333 0.6667 0.1158 x2
Mg: 0.3333 0.6667 0.4344 x2
Mg: 0.3333 0.6667 0.7025 x2

=====

This entry pairs a crystal structure of SrMg5 with its simulated PXRD pattern. Radiation: copper Kα. Structure: the GGA-PBE geometry in the Materials Project.

Main lines, sorted by position (2θ = 15–90°):
2θ = 24.2°, rel. 68, (1 0 1); 2θ = 28.8°, rel. 37, (1 1 0); 2θ = 33.4°, rel. 37, (2 0 0); 2θ = 34.0°, rel. 100, (1 1 1); 2θ = 35.5°, rel. 25, (0 0 2); 2θ = 48.4°, rel. 21, (2 1 1); 2θ = 49.5°, rel. 24, (2 0 2); 2θ = 54.5°, rel. 26, (3 0 1)

Structure:
abc: 6.1902 6.1902 5.0597
angles: 90.00 90.00 120.00
Space group P6/mmm (No. 191)
Inequivalent atoms, fractional coordinates:
Sr: 0.0000 0.0000 0.0000 x1
Mg: 0.0000 0.5000 0.5000 x3
Mg: 0.3333 0.6667 0.0000 x2

=====

This entry pairs a crystal structure of SrMg with its simulated PXRD pattern. Radiation: copper Kα. Structure: the GGA-PBE geometry in the Materials Project.

Main lines, sorted by position (2θ = 15–90°):
2θ = 15.9°, rel. 27, (0 0 1); 2θ = 25.4°, rel. 44, (1 0 0); 2θ = 30.1°, rel. 100, (1 0 1); 2θ = 32.0°, rel. 17, (0 0 2); 2θ = 41.3°, rel. 24, (1 0 2); 2θ = 44.7°, rel. 20, (1 1 0); 2θ = 54.8°, rel. 18, (2 0 1); 2θ = 56.1°, rel. 20, (1 1 2)

Structure:
abc: 4.0517 4.0517 5.5894
angles: 90.00 90.00 120.00
Space group P-6m2 (No. 187)
Inequivalent atoms, fractional coordinates:
Sr: 0.0000 0.0000 0.0000 x1
Mg: 0.6667 0.3333 0.5000 x1

=====

This entry pairs a crystal structure of SrMg2 with its simulated PXRD pattern. Radiation: copper Kα. Structure: the GGA-PBE geometry in the Materials Project.

Main lines, sorted by position (2θ = 15–90°):
2θ = 15.8°, rel. 24, (0 0 1); 2θ = 22.7°, rel. 24, (1 0 1); 2θ = 28.1°, rel. 38, (1 1 0); 2θ = 31.9°, rel. 23, (0 0 2); 2θ = 32.4°, rel. 100, (1 1 1); 2θ = 43.1°, rel. 24, (1 1 2); 2θ = 57.2°, rel. 19, (1 1 3); 2θ = 60.4°, rel. 18, (3 0 2)

Structure:
abc: 6.3466 6.3466 5.6066
angles: 90.00 90.00 120.00
Space group P-62m (No. 189)
Inequivalent atoms, fractional coordinates:
Sr: 0.3333 0.6667 0.0000 x2
Mg: 0.0000 0.0000 0.0000 x1
Mg: 0.0000 0.7123 0.5000 x3